Calculated X-ray diffraction stick pattern of Na3Ce3VO8 for Cu Kα (weighted mean of Kα1 and Kα2), from a cell relaxed with PBE+U.
No peak broadening, texture or thermal motion is included.

abc: 6.863 6.863 6.826
angles: 119.20 119.20 60.38
Atoms (fractional coordinates):
1 Na 0.000 0.000 0.000
2 Na 0.000 0.500 0.500
3 Na 0.500 0.000 0.500
4 Ce 0.000 0.500 0.000
5 Ce 0.500 0.000 0.000
6 Ce 0.500 0.500 0.500
7 V 0.000 0.000 0.500
8 O 0.215 0.763 0.284
9 O 0.225 0.225 0.749
10 O 0.237 0.785 0.716
11 O 0.261 0.261 0.242
12 O 0.739 0.739 0.758
13 O 0.763 0.215 0.284
14 O 0.775 0.775 0.251
15 O 0.785 0.237 0.716

Peak list (12 most intense, 2θ = 15–90°, by angle)
- 2θ = 15.93°, intensity 100
- 2θ = 30.20°, intensity 17
- 2θ = 30.37°, intensity 31
- 2θ = 31.73°, intensity 49
- 2θ = 32.17°, intensity 17
- 2θ = 36.71°, intensity 29
- 2θ = 37.05°, intensity 55
- 2θ = 48.95°, intensity 13
- 2θ = 52.87°, intensity 19
- 2θ = 53.41°, intensity 17
- 2θ = 63.47°, intensity 14
- 2θ = 66.30°, intensity 13